Entry 1:
PuNi: computed PXRD pattern (Cu Kα X-rays), based on DFT lattice parameters and positions (GGA-PBE).
Neutral-atom scattering factors, no anomalous dispersion.

Cell and atoms:
abc: 5.5166 5.5166 3.9834
angles: 90.00 90.00 140.36
Positions (direct):
Pu (0.1452, 0.8548, 0.7500)
Pu (0.8548, 0.1452, 0.2500)
Ni (0.4294, 0.5706, 0.7500)
Ni (0.5706, 0.4294, 0.2500)

Top 10 peaks for 10° ≤ 2θ ≤ 80°, low angle first:
2θ/deg	d [Å]	I (rel.)
28.24	3.160	54
33.99	2.637	100
34.57	2.595	25
35.34	2.540	53
41.53	2.174	20
42.20	2.142	29
45.54	1.992	22
48.68	1.870	18
55.64	1.652	19
58.93	1.567	25

=====

Entry 2:
PuNi5: computed PXRD pattern (Cu Kα X-rays), based on DFT lattice parameters and positions (GGA-PBE).
Neutral-atom scattering factors, no anomalous dispersion.

Cell and atoms:
abc: 4.8961 4.8961 3.9544
angles: 90.00 90.00 120.00
Positions (direct):
Pu (0.0000, 0.0000, 0.0000)
Ni (0.0000, 0.5000, 0.5000)
Ni (0.3333, 0.6667, 0.0000)
Ni (0.5000, 0.0000, 0.5000)
Ni (0.5000, 0.5000, 0.5000)
Ni (0.6667, 0.3333, 0.0000)

Top 10 peaks for 10° ≤ 2θ ≤ 80°, low angle first:
2θ/deg	d [Å]	I (rel.)
20.95	4.240	17
30.92	2.892	75
36.71	2.448	39
42.65	2.120	38
43.48	2.081	100
45.90	1.977	24
60.16	1.538	19
62.54	1.485	21
64.44	1.446	22
70.79	1.331	23

=====

Entry 3:
PuSi2Ni2: computed PXRD pattern (Cu Kα X-rays), based on DFT lattice parameters and positions (GGA-PBE).
Neutral-atom scattering factors, no anomalous dispersion.

Cell and atoms:
abc: 5.5725 5.5725 5.5725
angles: 138.40 138.40 60.29
Positions (direct):
Pu (0.0000, 0.0000, 0.0000)
Si (0.3747, 0.3747, 0.0000)
Si (0.6253, 0.6253, 0.0000)
Ni (0.2500, 0.7500, 0.5000)
Ni (0.7500, 0.2500, 0.5000)

Top 10 peaks for 10° ≤ 2θ ≤ 80°, low angle first:
2θ/deg	d [Å]	I (rel.)
24.31	3.661	80
36.01	2.494	62
37.15	2.420	100
37.32	2.409	18
45.86	1.979	37
52.58	1.741	22
52.83	1.733	21
59.65	1.550	29
67.20	1.393	17
79.06	1.211	22

=====

Entry 4:
Pu2Ni2Sn: computed PXRD pattern (Cu Kα X-rays), based on DFT lattice parameters and positions (GGA-PBE).
Neutral-atom scattering factors, no anomalous dispersion.

Cell and atoms:
abc: 7.1156 7.1156 3.9025
angles: 90.00 90.00 90.00
Positions (direct):
Pu (0.1747, 0.3253, 0.0000)
Pu (0.3253, 0.8253, 0.0000)
Pu (0.6747, 0.1747, 0.0000)
Pu (0.8253, 0.6747, 0.0000)
Ni (0.1233, 0.6233, 0.5000)
Ni (0.3767, 0.1233, 0.5000)
Ni (0.6233, 0.8767, 0.5000)
Ni (0.8767, 0.3767, 0.5000)
Sn (0.0000, 0.0000, 0.5000)
Sn (0.5000, 0.5000, 0.5000)

Top 10 peaks for 10° ≤ 2θ ≤ 80°, low angle first:
2θ/deg	d [Å]	I (rel.)
28.04	3.182	32
34.10	2.629	51
36.43	2.466	100
40.07	2.250	33
46.54	1.951	18
53.06	1.726	15
58.48	1.578	22
60.03	1.541	23
63.06	1.474	18
73.22	1.293	12

=====

Entry 5:
Rb2Ni3S4: computed PXRD pattern (Cu Kα X-rays), based on DFT lattice parameters and positions (GGA-PBE).
Neutral-atom scattering factors, no anomalous dispersion.

Cell and atoms:
abc: 8.3932 7.3377 5.8347
angles: 78.25 58.86 42.89
Positions (direct):
Rb (0.1585, 0.1585, 0.8415)
Rb (0.8415, 0.8415, 0.1585)
Ni (0.0000, 0.0000, 0.5000)
Ni (0.5000, 0.5000, 0.0000)
Ni (0.5000, 0.5000, 0.5000)
S (0.2262, 0.5608, 0.4392)
S (0.4392, 0.7738, 0.2262)
S (0.5608, 0.2262, 0.7738)
S (0.7738, 0.4392, 0.5608)

Top 10 peaks for 10° ≤ 2θ ≤ 80°, low angle first:
2θ/deg	d [Å]	I (rel.)
13.18	6.717	76
22.07	4.027	42
26.50	3.363	100
30.27	2.953	24
31.38	2.851	26
35.24	2.547	49
35.68	2.516	24
36.77	2.444	81
40.68	2.218	31
54.58	1.681	51

=====

Entry 6:
Ti2ReNi: computed PXRD pattern (Cu Kα X-rays), based on DFT lattice parameters and positions (GGA-PBE).
Neutral-atom scattering factors, no anomalous dispersion.

Cell and atoms:
abc: 4.3392 4.3392 4.3392
angles: 60.00 60.00 60.00
Positions (direct):
Ti (0.2500, 0.2500, 0.2500)
Ti (0.7500, 0.7500, 0.7500)
Re (0.0000, 0.0000, 0.0000)
Ni (0.5000, 0.5000, 0.5000)

Top 9 peaks for 10° ≤ 2θ ≤ 80°, low angle first:
2θ/deg	d [Å]	I (rel.)
25.14	3.543	29
29.10	3.068	26
41.63	2.170	100
49.25	1.850	15
51.59	1.771	8
60.33	1.534	16
66.41	1.408	7
68.36	1.372	10
75.97	1.253	32